Tb12PmSm5: theoretical powder X-ray diffraction pattern (copper Kα), based on the GGA-PBE geometry in Alexandria.
Neutral-atom scattering factors, no anomalous dispersion.

Peak list (6 most intense, 2θ = 10–90°, in order of rising 2θ)
- 2.994 Å, I = 24
- 2.902 Å, I = 30
- 2.801 Å, I = 100
- 2.591 Å, I = 13
- 2.084 Å, I = 17
- 1.655 Å, I = 21

Atomic structure:
```
18
Lattice="5.6756 -8.7049 0.0000 5.6756 8.7049 0.0000 -0.0001 0.0000 5.9885" Properties=species:S:1:pos:R:3 pbc="T T T"
Tb 2.0102 2.9000 0.3187
Tb 3.6651 2.9033 3.3130
Tb 2.0020 0.0000 2.6842
Tb 3.6710 0.0000 5.6792
Tb 2.0102 -2.9000 0.3187
Tb 3.6651 -2.9033 3.3130
Tb 7.6861 2.9033 2.6755
Tb 9.3410 2.9000 5.6698
Tb 7.6801 0.0000 0.3093
Tb 9.3492 0.0000 3.3043
Tb 7.6861 -2.9033 2.6755
Tb 9.3410 -2.9000 5.6698
Pm 5.6756 0.0000 2.9943
Sm 0.0000 0.0000 0.0000
Sm 5.6756 5.7989 2.9943
Sm 5.6756 2.9112 0.0000
Sm 5.6756 -2.9112 0.0000
Sm 5.6756 -5.7989 2.9943
```